(1)
Diffraction record for K2HfSnS5. The X-ray powder pattern is theoretical, not measured: it uses a PBE-relaxed structure and CuKα.
Peak positions follow from Bragg's law for the DFT cell and can differ from measured ones.

```
K2HfSnS5
1.0
3.842 0.000 0.000
0.000 14.022 0.000
-1.915 0.000 9.322
K Hf Sn S
4 2 2 10
direct
0.112 0.000 0.225
0.137 0.649 0.274
0.863 0.149 0.726
0.888 0.500 0.775
0.221 0.365 0.442
0.779 0.865 0.558
0.437 0.759 0.876
0.563 0.259 0.124
0.058 0.371 0.112
0.290 0.981 0.582
0.307 0.735 0.616
0.343 0.332 0.685
0.499 0.615 0.999
0.501 0.115 0.001
0.657 0.832 0.315
0.693 0.235 0.384
0.710 0.481 0.418
0.942 0.871 0.888
```

Peak list (12 most intense, 10° ≤ 2θ ≤ 80°, by angle)
- 2θ 11.40, rel. 73
- 2θ 12.63, rel. 99
- 2θ 15.82, rel. 79
- 2θ 24.49, rel. 22
- 2θ 26.89, rel. 30
- 2θ 28.04, rel. 57
- 2θ 29.44, rel. 68
- 2θ 30.50, rel. 100
- 2θ 35.92, rel. 26
- 2θ 40.10, rel. 37
- 2θ 43.32, rel. 27
- 2θ 49.07, rel. 38



(2)
Diffraction record for Tb2Sm2Se2S3. The X-ray powder pattern is theoretical, not measured: it uses a PBE-relaxed structure and CuKα.
Peak positions follow from Bragg's law for the DFT cell and can differ from measured ones.

```
Tb2Sm2Se2S3
1.0
-2.700 2.700 7.423
2.700 -2.700 7.423
2.700 2.700 -7.423
Tb Sm Se S
2 2 2 3
direct
0.000 0.500 0.500
0.500 0.000 0.500
0.202 0.202 0.000
0.798 0.798 0.000
0.398 0.398 0.000
0.602 0.602 0.000
0.000 0.000 0.000
0.250 0.750 0.500
0.750 0.250 0.500
```

Peak list (12 most intense, 10° ≤ 2θ ≤ 80°, by angle)
- 2θ 23.98, rel. 23
- 2θ 26.25, rel. 81
- 2θ 33.18, rel. 100
- 2θ 33.68, rel. 36
- 2θ 34.47, rel. 57
- 2θ 41.35, rel. 21
- 2θ 47.63, rel. 36
- 2θ 48.60, rel. 43
- 2θ 55.02, rel. 16
- 2θ 55.19, rel. 22
- 2θ 72.68, rel. 15
- 2θ 79.35, rel. 16



(3)
Diffraction record for Pa4Al16Fe3. The X-ray powder pattern is theoretical, not measured: it uses a PBE-relaxed structure and CuKα.
Peak positions follow from Bragg's law for the DFT cell and can differ from measured ones.

```
Pa4Al16Fe3
1.0
6.074 0.000 0.000
0.000 6.074 0.000
0.000 0.000 11.136
Pa Al Fe
4 16 3
direct
0.000 0.500 0.194
0.000 0.500 0.806
0.500 0.000 0.194
0.500 0.000 0.806
0.000 0.000 0.197
0.000 0.000 0.803
0.223 0.223 0.000
0.223 0.777 0.000
0.250 0.250 0.385
0.250 0.250 0.615
0.250 0.750 0.385
0.250 0.750 0.615
0.500 0.500 0.217
0.500 0.500 0.783
0.750 0.250 0.385
0.750 0.250 0.615
0.750 0.750 0.385
0.750 0.750 0.615
0.777 0.223 0.000
0.777 0.777 0.000
0.000 0.500 0.500
0.500 0.000 0.500
0.500 0.500 0.000
```

Peak list (12 most intense, 10° ≤ 2θ ≤ 80°, by angle)
- 2θ 15.92, rel. 26
- 2θ 20.68, rel. 100
- 2θ 23.97, rel. 23
- 2θ 26.20, rel. 46
- 2θ 29.41, rel. 45
- 2θ 31.86, rel. 77
- 2θ 33.61, rel. 45
- 2θ 38.29, rel. 78
- 2θ 42.08, rel. 51
- 2θ 47.33, rel. 25
- 2θ 53.74, rel. 41
- 2θ 59.83, rel. 25



Please write out number 2 again, unchanged.
Diffraction record for Tb2Sm2Se2S3. The X-ray powder pattern is theoretical, not measured: it uses a PBE-relaxed structure and CuKα.
Peak positions follow from Bragg's law for the DFT cell and can differ from measured ones.

```
Tb2Sm2Se2S3
1.0
-2.700 2.700 7.423
2.700 -2.700 7.423
2.700 2.700 -7.423
Tb Sm Se S
2 2 2 3
direct
0.000 0.500 0.500
0.500 0.000 0.500
0.202 0.202 0.000
0.798 0.798 0.000
0.398 0.398 0.000
0.602 0.602 0.000
0.000 0.000 0.000
0.250 0.750 0.500
0.750 0.250 0.500
```

Peak list (12 most intense, 10° ≤ 2θ ≤ 80°, by angle)
- 2θ 23.98, rel. 23
- 2θ 26.25, rel. 81
- 2θ 33.18, rel. 100
- 2θ 33.68, rel. 36
- 2θ 34.47, rel. 57
- 2θ 41.35, rel. 21
- 2θ 47.63, rel. 36
- 2θ 48.60, rel. 43
- 2θ 55.02, rel. 16
- 2θ 55.19, rel. 22
- 2θ 72.68, rel. 15
- 2θ 79.35, rel. 16